# 1
For Mn3AlC, DFT lattice parameters and positions (PBE) gives the computed PXRD pattern in this record (Cu Kα (λ = 1.5418 Å)).
Peak positions follow from Bragg's law for the DFT cell and can differ from measured ones.

Crystal structure
```
Mn3AlC
1.0
3.8066 0.0000 0.0000
0.0000 3.8066 0.0000
0.0000 0.0000 3.8066
Mn Al C
3 1 1
direct
0.0000 0.0000 0.5000
0.0000 0.5000 0.0000
0.5000 0.0000 0.0000
0.5000 0.5000 0.5000
0.0000 0.0000 0.0000
```

Top 8 peaks for 2θ = 10–80°, low angle first:
- 23.37 deg, d 3.807, I = 17.2
- 33.29 deg, d 2.692, I = 2.7
- 41.07 deg, d 2.198, I = 100.0
- 47.79 deg, d 1.903, I = 57.1
- 53.85 deg, d 1.702, I = 5.1
- 59.48 deg, d 1.554, I = 1.0
- 69.89 deg, d 1.346, I = 32.8
- 74.83 deg, d 1.269, I = 1.9

---

# 2
For Al6C3N2, DFT lattice parameters and positions (PBE) gives the computed PXRD pattern in this record (Cu Kα (λ = 1.5418 Å)).
Peak positions follow from Bragg's law for the DFT cell and can differ from measured ones.

Crystal structure
```
Al6C3N2
1.0
4.1648 0.0000 0.0000
0.0000 3.4794 0.0000
-1.8851 0.0000 9.0371
Al C N
6 3 2
direct
0.0000 0.0000 0.0000
0.0901 0.5000 0.3285
0.2048 0.0000 0.6423
0.4403 0.5000 0.8797
0.5563 0.0000 0.2488
0.6856 0.5000 0.5570
0.0331 0.0000 0.2109
0.1896 0.5000 0.5541
0.6312 0.0000 0.8136
0.5933 0.5000 0.3397
0.7557 0.0000 0.6757
```

Top 10 peaks for 2θ = 10–80°, low angle first:
- 27.47 deg, d 3.247, I = 46.1
- 29.66 deg, d 3.012, I = 91.2
- 32.47 deg, d 2.757, I = 96.8
- 36.62 deg, d 2.454, I = 73.3
- 37.02 deg, d 2.428, I = 100.0
- 43.47 deg, d 2.082, I = 76.8
- 48.01 deg, d 1.895, I = 49.0
- 52.61 deg, d 1.740, I = 64.8
- 57.46 deg, d 1.604, I = 43.7
- 67.44 deg, d 1.389, I = 39.2

---

# 3
For AlC3N3, DFT lattice parameters and positions (PBE) gives the computed PXRD pattern in this record (Cu Kα (λ = 1.5418 Å)).
Peak positions follow from Bragg's law for the DFT cell and can differ from measured ones.

Crystal structure
```
AlC3N3
1.0
3.6929 2.1321 3.0184
-3.6929 2.1321 3.0184
0.0000 -4.2642 3.0184
Al C N
1 3 3
direct
0.0000 0.0000 0.0000
0.0027 0.0027 0.3988
0.0027 0.3988 0.0027
0.3988 0.0027 0.0027
0.0028 0.0028 0.6223
0.0028 0.6223 0.0028
0.6223 0.0028 0.0028
```

Top 10 peaks for 2θ = 10–80°, low angle first:
- 16.97 deg, d 5.224, I = 100.0
- 24.09 deg, d 3.694, I = 4.3
- 29.62 deg, d 3.016, I = 8.2
- 34.33 deg, d 2.612, I = 26.1
- 38.53 deg, d 2.336, I = 15.7
- 49.34 deg, d 1.847, I = 8.4
- 52.55 deg, d 1.741, I = 8.7
- 55.63 deg, d 1.652, I = 7.0
- 64.29 deg, d 1.449, I = 8.4
- 77.52 deg, d 1.231, I = 3.2

---

# 4
For Al5C3N, DFT lattice parameters and positions (PBE) gives the computed PXRD pattern in this record (Cu Kα (λ = 1.5418 Å)).
Peak positions follow from Bragg's law for the DFT cell and can differ from measured ones.

Crystal structure
```
Al5C3N
1.0
3.3087 0.0000 0.0000
-1.6544 2.8654 0.0000
0.0000 0.0000 21.8276
Al C N
10 6 2
direct
0.0000 0.0000 0.0000
0.0000 0.0000 0.1885
0.0000 0.0000 0.5000
0.0000 0.0000 0.6885
0.3333 0.6667 0.1033
0.3333 0.6667 0.2938
0.3333 0.6667 0.8857
0.6667 0.3333 0.3857
0.6667 0.3333 0.6033
0.6667 0.3333 0.7938
0.0000 0.0000 0.0898
0.0000 0.0000 0.3432
0.0000 0.0000 0.5898
0.0000 0.0000 0.8432
0.3333 0.6667 0.2067
0.6667 0.3333 0.7067
0.3333 0.6667 0.9706
0.6667 0.3333 0.4706
```

Top 10 peaks for 2θ = 10–80°, low angle first:
- 31.49 deg, d 2.841, I = 99.5
- 32.30 deg, d 2.771, I = 27.4
- 35.38 deg, d 2.537, I = 23.5
- 37.55 deg, d 2.395, I = 58.6
- 40.06 deg, d 2.251, I = 74.9
- 41.36 deg, d 2.183, I = 47.3
- 49.22 deg, d 1.851, I = 34.4
- 55.55 deg, d 1.654, I = 100.0
- 60.27 deg, d 1.536, I = 31.9
- 71.57 deg, d 1.318, I = 53.3

---

# 5
For Al6C3N2, DFT lattice parameters and positions (PBE) gives the computed PXRD pattern in this record (Cu Kα (λ = 1.5418 Å)).
Peak positions follow from Bragg's law for the DFT cell and can differ from measured ones.

Crystal structure
```
Al6C3N2
1.0
1.6380 0.9457 13.5074
-1.6380 0.9457 13.5074
0.0000 -1.8913 13.5074
Al C N
6 3 2
direct
0.0876 0.0876 0.0876
0.1891 0.1891 0.1891
0.3084 0.3084 0.3084
0.6916 0.6916 0.6916
0.8109 0.8109 0.8109
0.9124 0.9124 0.9124
0.0000 0.0000 0.0000
0.1346 0.1346 0.1346
0.8654 0.8654 0.8654
0.2639 0.2639 0.2639
0.7361 0.7361 0.7361
```

Top 10 peaks for 2θ = 10–80°, low angle first:
- 31.61 deg, d 2.830, I = 60.6
- 31.85 deg, d 2.810, I = 65.7
- 33.47 deg, d 2.678, I = 40.6
- 36.29 deg, d 2.475, I = 45.3
- 38.75 deg, d 2.324, I = 81.8
- 40.08 deg, d 2.250, I = 77.7
- 48.16 deg, d 1.889, I = 24.7
- 56.15 deg, d 1.638, I = 100.0
- 59.87 deg, d 1.545, I = 27.1
- 71.19 deg, d 1.324, I = 54.9

---

# 6
For Al5C3N, DFT lattice parameters and positions (PBE) gives the computed PXRD pattern in this record (Cu Kα (λ = 1.5418 Å)).
Peak positions follow from Bragg's law for the DFT cell and can differ from measured ones.

Crystal structure
```
Al5C3N
1.0
3.3457 0.0000 0.0000
-1.6728 2.8974 0.0000
0.0000 0.0000 20.9715
Al C N
10 6 2
direct
0.0000 0.0000 0.1548
0.0000 0.0000 0.3452
0.0000 0.0000 0.6548
0.0000 0.0000 0.8452
0.3333 0.6667 0.0491
0.3333 0.6667 0.2500
0.3333 0.6667 0.4509
0.6667 0.3333 0.5491
0.6667 0.3333 0.7500
0.6667 0.3333 0.9509
0.0000 0.0000 0.0000
0.0000 0.0000 0.5000
0.3333 0.6667 0.1386
0.3333 0.6667 0.3614
0.6667 0.3333 0.6386
0.6667 0.3333 0.8614
0.0000 0.0000 0.2500
0.0000 0.0000 0.7500
```

Top 10 peaks for 2θ = 10–80°, low angle first:
- 31.16 deg, d 2.870, I = 97.3
- 32.05 deg, d 2.793, I = 28.4
- 35.40 deg, d 2.536, I = 19.4
- 37.74 deg, d 2.384, I = 59.0
- 40.44 deg, d 2.231, I = 64.6
- 43.14 deg, d 2.097, I = 52.3
- 50.25 deg, d 1.816, I = 27.4
- 54.88 deg, d 1.673, I = 100.0
- 62.02 deg, d 1.496, I = 20.4
- 72.24 deg, d 1.308, I = 63.3

---

# 7
For Al4CN3O, DFT lattice parameters and positions (PBE) gives the computed PXRD pattern in this record (Cu Kα (λ = 1.5418 Å)).
Peak positions follow from Bragg's law for the DFT cell and can differ from measured ones.

Crystal structure
```
Al4CN3O
1.0
3.0165 -4.4749 0.0000
3.0165 4.4749 0.0000
0.0000 0.0000 9.0671
Al C N O
8 2 6 2
direct
0.0489 0.9511 0.5000
0.1046 0.4512 0.2858
0.4034 0.5966 0.5845
0.4512 0.1046 0.7858
0.5488 0.8954 0.2858
0.5966 0.4034 0.0845
0.8954 0.5488 0.7858
0.9511 0.0489 0.0000
0.1964 0.8036 0.6720
0.8036 0.1964 0.1720
0.1692 0.3212 0.4692
0.1820 0.8180 0.3400
0.3212 0.1692 0.9692
0.6788 0.8308 0.4692
0.8180 0.1820 0.8400
0.8308 0.6788 0.9692
0.4357 0.5643 0.2001
0.5643 0.4357 0.7001
```

Top 10 peaks for 2θ = 10–80°, low angle first:
- 20.27 deg, d 4.380, I = 100.0
- 22.15 deg, d 4.013, I = 89.4
- 26.53 deg, d 3.359, I = 68.1
- 28.02 deg, d 3.185, I = 95.3
- 34.98 deg, d 2.565, I = 21.6
- 35.79 deg, d 2.509, I = 75.5
- 37.29 deg, d 2.411, I = 59.7
- 45.28 deg, d 2.003, I = 26.9
- 59.88 deg, d 1.545, I = 44.7
- 63.35 deg, d 1.468, I = 38.2

---

# 8
For Al2Si2CNO10, DFT lattice parameters and positions (PBE) gives the computed PXRD pattern in this record (Cu Kα (λ = 1.5418 Å)).
Peak positions follow from Bragg's law for the DFT cell and can differ from measured ones.

Crystal structure
```
Al2Si2CNO10
1.0
2.6193 -4.5369 0.0000
2.6193 4.5369 0.0000
-2.5967 0.0000 20.9549
Al Si C N O
4 4 2 2 20
direct
0.1286 0.8714 0.5000
0.2307 0.8473 0.9999
0.8473 0.2307 0.4999
0.8714 0.1286 0.0000
0.2098 0.6280 0.6319
0.6280 0.2098 0.1319
0.8938 0.9692 0.6319
0.9692 0.8938 0.1319
0.3978 0.5977 0.3110
0.5977 0.3978 0.8110
0.3892 0.7959 0.2836
0.7959 0.3892 0.7836
0.0414 0.3126 0.6611
0.0709 0.1268 0.4496
0.0939 0.8401 0.6617
0.1268 0.0709 0.9496
0.1316 0.5799 0.5535
0.1841 0.5054 0.0348
0.3126 0.0414 0.1611
0.4073 0.4081 0.3374
0.4081 0.4073 0.8374
0.4664 0.9085 0.4556
0.5054 0.1841 0.5348
0.5190 0.8478 0.9501
0.5621 0.7810 0.6525
0.5799 0.1316 0.0535
0.7810 0.5621 0.1525
0.8401 0.0939 0.1617
0.8478 0.5190 0.4501
0.8963 0.9612 0.5536
0.9085 0.4664 0.9556
0.9612 0.8963 0.0536
```

Top 10 peaks for 2θ = 10–80°, low angle first:
- 19.68 deg, d 4.511, I = 34.1
- 20.59 deg, d 4.315, I = 53.1
- 22.28 deg, d 3.991, I = 100.0
- 23.38 deg, d 3.805, I = 50.6
- 24.62 deg, d 3.616, I = 43.9
- 25.50 deg, d 3.492, I = 71.9
- 34.85 deg, d 2.574, I = 22.3
- 35.92 deg, d 2.500, I = 20.4
- 40.60 deg, d 2.222, I = 16.8
- 41.86 deg, d 2.158, I = 25.4

---

# 9
For AlSiCN, DFT lattice parameters and positions (PBE) gives the computed PXRD pattern in this record (Cu Kα (λ = 1.5418 Å)).
Peak positions follow from Bragg's law for the DFT cell and can differ from measured ones.

Crystal structure
```
AlSiCN
1.0
3.1095 0.0000 0.0000
-1.5548 2.6929 0.0000
0.0000 0.0000 5.0558
Al Si C N
1 1 1 1
direct
0.0000 0.0000 0.0000
0.3333 0.6667 0.4901
0.0000 0.0000 0.6014
0.3333 0.6667 0.1298
```

Top 10 peaks for 2θ = 10–80°, low angle first:
- 17.54 deg, d 5.056, I = 3.2
- 33.27 deg, d 2.693, I = 88.7
- 35.51 deg, d 2.528, I = 56.2
- 37.85 deg, d 2.377, I = 100.0
- 49.45 deg, d 1.843, I = 30.3
- 59.45 deg, d 1.555, I = 53.7
- 65.32 deg, d 1.429, I = 51.3
- 69.86 deg, d 1.346, I = 8.1
- 71.20 deg, d 1.324, I = 39.1
- 72.67 deg, d 1.301, I = 16.2

---

# 10
For Nb3Al2C, DFT lattice parameters and positions (PBE) gives the computed PXRD pattern in this record (Cu Kα (λ = 1.5418 Å)).
Peak positions follow from Bragg's law for the DFT cell and can differ from measured ones.

Crystal structure
```
Nb3Al2C
1.0
7.1302 0.0000 0.0000
0.0000 7.1302 0.0000
0.0000 0.0000 7.1302
Nb Al C
12 8 4
direct
0.0454 0.1250 0.7954
0.1250 0.7954 0.0454
0.2046 0.5454 0.3750
0.2954 0.4546 0.8750
0.3750 0.2046 0.5454
0.4546 0.8750 0.2954
0.5454 0.3750 0.2046
0.6250 0.7046 0.9546
0.7046 0.9546 0.6250
0.7954 0.0454 0.1250
0.8750 0.2954 0.4546
0.9546 0.6250 0.7046
0.0693 0.9307 0.4307
0.1807 0.1807 0.1807
0.3193 0.8193 0.6807
0.4307 0.0693 0.9307
0.5693 0.5693 0.5693
0.6807 0.3193 0.8193
0.8193 0.6807 0.3193
0.9307 0.4307 0.0693
0.1250 0.3750 0.6250
0.3750 0.6250 0.1250
0.6250 0.1250 0.3750
0.8750 0.8750 0.8750
```

Top 10 peaks for 2θ = 10–80°, low angle first:
- 17.59 deg, d 5.042, I = 13.8
- 21.59 deg, d 4.117, I = 15.2
- 27.98 deg, d 3.189, I = 19.2
- 37.85 deg, d 2.377, I = 100.0
- 39.99 deg, d 2.255, I = 57.6
- 42.03 deg, d 2.150, I = 22.1
- 54.61 deg, d 1.681, I = 12.7
- 57.83 deg, d 1.594, I = 11.6
- 66.91 deg, d 1.398, I = 20.5
- 71.22 deg, d 1.324, I = 19.6